Starting from a DFT-relaxed cell (GGA-PBE, OQMD), the X-ray diffraction stick pattern of LaNdI2O2 was simulated for Cu Ka.
Intensities are scaled so that the largest is 100.

Lattice parameters (Å, degrees): 4.109 4.109 9.260 90.00 90.00 90.00
Fractional positions:
La1 0.000 0.000 0.000
Nd1 0.500 0.500 0.254
I1 0.000 0.000 0.459
I2 0.500 0.500 0.797
O1 0.000 0.500 0.130
O2 0.500 0.000 0.130

The 10 most intense peaks (2θ = 10–90°), low angle first:
two_theta	I (rel.)	hkl
29.06	100	1 0 2
30.78	44	1 1 0
36.41	9	1 0 3
44.08	21	2 0 0
44.94	7	1 0 4
50.40	16	1 1 4
53.66	36	2 1 2
71.89	8	3 0 2
72.79	8	3 1 0
88.32	9	3 2 2